Diffraction record for Ca4HoTe5. The X-ray powder pattern is simulated, not measured: it uses a crystal structure in Alexandria, relaxed with PBE and Cu Kα, 1.54184 Å.

Structural model:
```
Ca4HoTe5
1.0
-2.2325 2.2325 15.8600
2.2325 -2.2325 15.8600
2.2325 2.2325 -15.8600
Ca Ho Te
4 1 5
Direct
0.0992 0.0992 0.0000
0.3006 0.3006 0.0000
0.6994 0.6994 0.0000
0.9008 0.9008 0.0000
0.5000 0.5000 0.0000
0.0000 0.0000 0.0000
0.1995 0.1995 0.0000
0.4024 0.4024 0.0000
0.5976 0.5976 0.0000
0.8005 0.8005 0.0000
```

The 10 most intense peaks (10 to 80 degrees two-theta), in order of falling intensity:
2θ = 40.34°, I 100; 2θ = 28.27°, I 89; 2θ = 28.13°, I 46; 2θ = 49.96°, I 36; 2θ = 24.38°, I 23; 2θ = 73.40°, I 22; 2θ = 66.12°, I 15; 2θ = 66.19°, I 15; 2θ = 65.91°, I 15; 2θ = 58.47°, I 11